Starting from a cell relaxed with PBE, the X-ray powder pattern of LiPmU2Se4 was calculated for copper Kα.
Kinematic intensities with the Lorentz-polarization factor, no thermal factor.

Main lines, in order of falling intensity (2θ from 5° to 70°):
2θ/deg  I (rel.)
30.9  100.0
43.5  39.5
45.2  35.3
12.8  24.6
55.8  19.0
26.0  16.6
27.0  13.2
64.5  12.3
52.8  10.0
33.6  9.6

Crystal structure
Unit cell a=6.9508 b=4.0161 c=7.3102 alpha=90.00 beta=108.57 gamma=90.00
Element x y z (fractional)
Li 0.0000 0.0000 0.0000
Pm 0.5000 0.5000 0.0000
U 0.0000 0.5000 0.5000
U 0.5000 0.0000 0.5000
Se 0.2380 0.5000 0.2419
Se 0.2399 0.0000 0.7524
Se 0.7601 0.0000 0.2476
Se 0.7620 0.5000 0.7581

Starting from a cell relaxed with PBE, the X-ray powder pattern of Li8PmSi4 was calculated for copper Kα.
Kinematic intensities with the Lorentz-polarization factor, no thermal factor.

Main lines, in order of falling intensity (2θ from 5° to 70°):
2θ/deg  I (rel.)
14.0  100.0
19.7  94.0
28.1  86.3
28.3  57.4
40.0  57.0
40.3  44.2
31.7  32.6
58.1  31.8
34.7  31.1
40.4  30.4

Crystal structure
Unit cell a=6.8347 b=6.8347 c=6.8347 alpha=98.40 beta=98.40 gamma=135.06
Element x y z (fractional)
Li 0.0000 0.2201 0.2201
Li 0.0000 0.7799 0.7799
Li 0.1524 0.5000 0.6524
Li 0.2201 0.0000 0.2201
Li 0.5000 0.1524 0.6524
Li 0.5000 0.8476 0.3476
Li 0.7799 0.0000 0.7799
Li 0.8476 0.5000 0.3476
Pm 0.5000 0.5000 0.0000
Si 0.0000 0.0000 0.5000
Si 0.0000 0.5000 0.0000
Si 0.5000 0.0000 0.0000
Si 0.5000 0.5000 0.5000

Starting from a cell relaxed with PBE, the X-ray powder pattern of LiPm6Sn4 was calculated for copper Kα.
Kinematic intensities with the Lorentz-polarization factor, no thermal factor.

Main lines, in order of falling intensity (2θ from 5° to 70°):
2θ/deg  I (rel.)
34.9  100.0
29.6  99.6
36.6  60.0
27.7  40.4
31.5  36.4
10.4  35.6
57.1  33.7
58.3  30.8
23.3  26.0
42.2  25.0

Crystal structure
Unit cell a=9.8272 b=9.8272 c=4.2802 alpha=90.00 beta=90.00 gamma=120.00
Element x y z (fractional)
Li 0.0000 0.0000 0.0000
Pm 0.0719 0.5359 0.0000
Pm 0.3848 0.1924 0.5000
Pm 0.4641 0.5359 0.0000
Pm 0.4641 0.9281 0.0000
Pm 0.8076 0.1924 0.5000
Pm 0.8076 0.6152 0.5000
Sn 0.1732 0.3465 0.5000
Sn 0.1732 0.8268 0.5000
Sn 0.6535 0.8268 0.5000
Sn 0.6667 0.3333 0.0000

Starting from a cell relaxed with PBE, the X-ray powder pattern of LiPmSn was calculated for copper Kα.
Kinematic intensities with the Lorentz-polarization factor, no thermal factor.

Main lines, in order of falling intensity (2θ from 5° to 70°):
2θ/deg  I (rel.)
32.0  100.0
37.8  54.3
24.6  44.5
50.4  28.4
64.6  27.0
62.5  25.4
21.6  21.6
41.8  11.2
68.2  9.8
47.8  9.3

Crystal structure
Unit cell a=4.7604 b=4.7604 c=7.6040 alpha=90.00 beta=90.00 gamma=120.00
Element x y z (fractional)
Li 0.3333 0.6667 0.2500
Li 0.6667 0.3333 0.7500
Pm 0.0000 0.0000 0.0000
Pm 0.0000 0.0000 0.5000
Sn 0.3333 0.6667 0.7500
Sn 0.6667 0.3333 0.2500